(1)
Diffraction record for Tl7SbSe6. The powder X-ray diffraction pattern is theoretical, not measured: it uses a cell relaxed with GGA-PBE and copper Kα.

Largest 10 diffraction maxima, low angle first, 2θ = 10–90°:
21.3°, I 24, hkl 1 0 4; 23.8°, I 38, hkl 1 1 3; 24.3°, I 15, hkl 2 0 2; 27.3°, I 60, hkl 0 0 6; 30.3°, I 100, hkl 2 1 1; 31.4°, I 48, hkl 3 -2 2; 37.9°, I 57, hkl 3 -2 5; 44.4°, I 40, hkl 2 1 7; 49.9°, I 17, hkl 4 0 4; 53.2°, I 17, hkl 1 4 0

Cell and atoms:
```
data_Tl7SbSe6
_chemical_formula_sum 'Tl21 Sb3 Se18'
_cell_length_a 9.1046
_cell_length_b 9.1046
_cell_length_c 19.6027
_cell_angle_alpha 90.00
_cell_angle_beta 90.00
_cell_angle_gamma 120.00
_symmetry_space_group_name_H-M 'R 3'
_symmetry_Int_Tables_number 146
_symmetry_space_group_name_Hall 'R 3'
loop_
_atom_site_label
_atom_site_type_symbol
_atom_site_fract_x
_atom_site_fract_y
_atom_site_fract_z
Tl1 Tl 0.0000 0.0000 0.0000
Tl2 Tl 0.0173 0.2501 0.8184
Tl3 Tl 0.0179 0.7798 0.3219
Sb1 Sb 0.0000 0.0000 0.5489
Se1 Se 0.1017 0.3418 0.6553
Se2 Se 0.1200 0.7347 0.1512
```

---

(2)
Diffraction record for CeNd2ErAs4. The powder X-ray diffraction pattern is theoretical, not measured: it uses a cell relaxed with GGA-PBE and copper Kα.

Largest 10 diffraction maxima, low angle first, 2θ = 10–90°:
25.9°, I 19, hkl 0 0 2; 30.0°, I 100, hkl 1 1 1; 43.0°, I 75, hkl 0 2 0; 50.9°, I 9, hkl 1 1 3; 53.3°, I 20, hkl 2 2 -2; 62.4°, I 12, hkl 2 2 2; 70.7°, I 22, hkl 1 3 1; 70.9°, I 11, hkl 4 2 0; 78.7°, I 10, hkl 1 3 -3; 78.8°, I 13, hkl 3 3 -1

Cell and atoms:
```
data_CeNd2ErAs4
_chemical_formula_sum 'Ce1 Nd2 Er1 As4'
_cell_length_a 7.279
_cell_length_b 4.211
_cell_length_c 7.299
_cell_angle_alpha 90.00
_cell_angle_beta 109.39
_cell_angle_gamma 90.00
_symmetry_space_group_name_H-M 'P 1 2/m 1'
_symmetry_Int_Tables_number 10
loop_
_symmetry_equiv_pos_as_xyz
'x,y,z'
'-x,-y,-z'
'-x,y,-z'
'x,-y,z'
loop_
_atom_site_label
_atom_site_type_symbol
_atom_site_fract_x
_atom_site_fract_y
_atom_site_fract_z
Ce1 Ce 0.000 0.000 0.000
Nd1 Nd 0.000 0.500 0.500
Nd2 Nd 0.500 0.000 0.500
Er1 Er 0.500 0.500 0.000
As1 As 0.250 0.500 0.242
As2 As 0.255 0.000 0.761
```

---

(3)
Diffraction record for SrTl2Cd2Bi2. The powder X-ray diffraction pattern is theoretical, not measured: it uses a cell relaxed with GGA-PBE and copper Kα.

Largest 10 diffraction maxima, low angle first, 2θ = 10–90°:
10.6°, I 15, hkl 0 0 3; 31.3°, I 79, hkl 1 0 7; 32.5°, I 100, hkl 1 1 0; 34.3°, I 22, hkl 0 1 8; 40.7°, I 13, hkl 1 0 10; 45.7°, I 28, hkl 0 2 7; 57.2°, I 29, hkl 2 1 7; 58.0°, I 19, hkl 3 0 0; 68.1°, I 12, hkl 2 2 0; 76.8°, I 12, hkl 1 3 7

Cell and atoms:
```
data_SrTl2Cd2Bi2
_chemical_formula_sum 'Sr3 Tl6 Cd6 Bi6'
_cell_length_a 5.5108
_cell_length_b 5.5108
_cell_length_c 25.0294
_cell_angle_alpha 90.00
_cell_angle_beta 90.00
_cell_angle_gamma 120.00
_symmetry_space_group_name_H-M 'R -3 m'
_symmetry_Int_Tables_number 166
_symmetry_space_group_name_Hall '-R 3 2"'
loop_
_atom_site_label
_atom_site_type_symbol
_atom_site_fract_x
_atom_site_fract_y
_atom_site_fract_z
Sr1 Sr 0.0000 0.0000 0.0000
Tl1 Tl 0.0000 0.0000 0.1370
Cd1 Cd 0.0000 0.0000 0.4357
Bi1 Bi 0.0000 0.0000 0.2656
```